Computed powder XRD pattern of CsScCoF6 for Cu Kα, 1.54184 Å, from the GGA+U geometry in Alexandria.

a b c (Å): 7.5057 7.7232 10.8638
angles (deg): 90.00 90.00 90.00
Space group Imma (No. 74)
Inequivalent atoms, fractional coordinates:
Cs 0.0000 0.2500 0.1038 [4 per cell]
Sc 0.0000 0.0000 0.5000 [4 per cell]
Co 0.2500 0.2500 0.7500 [4 per cell]
F 0.0000 0.2500 0.4322 [4 per cell]
F 0.0000 0.2500 0.8160 [4 per cell]
F 0.1948 0.0575 0.6211 [16 per cell]

Top 8 peaks for 10° ≤ 2θ ≤ 90°, most intense first:
index, 2θ/deg, I_rel
0 1 3, 27.22, 100
2 1 1, 27.67, 50
1 1 2, 23.27, 39
2 2 4, 47.57, 36
0 3 3, 43.11, 23
2 0 2, 28.92, 20
3 0 3, 43.96, 15
0 2 0, 23.03, 15

Computed powder XRD pattern of CsScCo2F8 for Cu Kα, 1.54184 Å, from the GGA+U geometry in Alexandria.

a b c (Å): 5.5206 5.5206 24.4621
angles (deg): 90.00 90.00 120.00
Space group R-3 (No. 148, hexagonal axes)
Inequivalent atoms, fractional coordinates:
Cs 0.0000 0.0000 0.0000 [3 per cell]
Sc 0.0000 0.0000 0.5000 [3 per cell]
Co 0.0000 0.0000 0.2413 [6 per cell]
F 0.0000 0.0000 0.3173 [6 per cell]
F 0.0204 0.6458 0.1191 [18 per cell]

Top 8 peaks for 10° ≤ 2θ ≤ 90°, most intense first:
index, 2θ/deg, I_rel
1 0 4, 23.62, 100
1 1 0, 32.44, 38
0 1 8, 34.83, 21
1 1 12, 56.08, 21
1 1 3, 34.30, 20
3 -1 4, 52.83, 19
0 2 4, 40.52, 18
3 0 0, 57.86, 15